(1)
For AgSbTeO, a DFT-relaxed cell (PBE, OQMD) gives the theoretical XRD peak list in this record (λ = 1.5418 Å (Cu Kα)).

Largest 8 diffraction maxima, sorted by position, 2θ from 10° to 90°:
index	two_theta	I/Imax
1 0 2	29.1	61
1 2 -1	29.6	22
2 1 -1	30.8	100
0 2 2	34.6	65
0 3 1	38.3	22
1 3 1	41.1	23
3 2 0	47.4	25
4 0 -2	58.5	22

Cell and atoms:
abc: 6.740 7.452 7.254
angles: 90.00 95.17 90.00
Space group P2_1/c (No. 14)
Symmetry-distinct sites (fractional):
1 Ag 0.030 0.194 0.493
2 Sb 0.432 0.555 0.796
3 Te 0.175 0.518 0.317
4 O 0.444 0.169 0.464

(2)
For LuHf2Ni4Ge4, a DFT-relaxed cell (PBE, OQMD) gives the theoretical XRD peak list in this record (λ = 1.5418 Å (Cu Kα)).

Largest 8 diffraction maxima, sorted by position, 2θ from 10° to 90°:
index	two_theta	I/Imax
1 2 1	36.2	100
0 1 5	37.1	31
1 1 4	38.4	95
0 0 6	41.7	18
0 3 3	46.2	27
2 0 0	46.3	34
0 4 0	55.5	23
1 5 4	82.4	23

Cell and atoms:
abc: 3.923 6.620 13.007
angles: 90.00 90.00 90.00
Space group Immm (No. 71)
Symmetry-distinct sites (fractional):
1 Lu 0.000 0.000 0.000
2 Hf 0.000 0.500 0.128
3 Ni 0.000 0.300 0.323
4 Ge 0.000 0.000 0.216
5 Ge 0.000 0.193 0.500

(3)
For Zr3TlB2, a DFT-relaxed cell (PBE, OQMD) gives the theoretical XRD peak list in this record (λ = 1.5418 Å (Cu Kα)).

Largest 8 diffraction maxima, sorted by position, 2θ from 10° to 90°:
index	two_theta	I/Imax
1 0 0	29.9	18
0 0 8	33.8	25
1 0 4	34.4	100
1 1 0	53.0	25
1 0 12	60.9	18
1 1 8	64.4	23
2 0 4	64.7	16
2 1 4	88.4	14

Cell and atoms:
abc: 3.4558 3.4558 21.2033
angles: 90.00 90.00 120.00
Space group P6_3/mmc (No. 194)
Symmetry-distinct sites (fractional):
1 Zr 0.0000 0.0000 0.0000
2 Zr 0.3333 0.6667 0.1293
3 Tl 0.0000 0.0000 0.2500
4 B 0.3333 0.6667 0.5696

(4)
For Sc2AlGa3Pt2, a DFT-relaxed cell (PBE, OQMD) gives the theoretical XRD peak list in this record (λ = 1.5418 Å (Cu Kα)).

Largest 8 diffraction maxima, sorted by position, 2θ from 10° to 90°:
index	two_theta	I/Imax
2 0 0	18.1	70
1 1 1	26.6	100
1 1 -2	35.5	68
3 1 1	37.3	87
0 2 0	42.8	49
3 1 -2	44.3	30
3 1 2	44.4	35
1 1 -3	47.2	63

Cell and atoms:
abc: 9.807 4.222 6.661
angles: 90.00 90.27 90.00
Space group Cm (No. 8)
Symmetry-distinct sites (fractional):
1 Sc 0.000 0.000 0.000
2 Sc 0.160 0.000 0.504
3 Al 0.443 0.000 0.305
4 Ga 0.207 0.500 0.206
5 Ga 0.210 0.500 0.801
6 Ga 0.452 0.000 0.706
7 Pt 0.288 0.000 0.003
8 Pt 0.377 0.500 0.502

(5)
For LaNdSn2Hg2, a DFT-relaxed cell (PBE, OQMD) gives the theoretical XRD peak list in this record (λ = 1.5418 Å (Cu Kα)).

Largest 8 diffraction maxima, sorted by position, 2θ from 10° to 90°:
index	two_theta	I/Imax
1 0 1	22.0	19
1 0 4	30.2	100
1 0 5	34.2	21
1 1 0	37.5	86
1 0 7	43.4	29
2 0 4	48.9	27
2 1 4	63.2	25
3 0 0	67.6	16

Cell and atoms:
abc: 4.7975 4.7975 16.8625
angles: 90.00 90.00 120.00
Space group P6_3/mmc (No. 194)
Symmetry-distinct sites (fractional):
1 La 0.0000 0.0000 0.0000
2 Nd 0.0000 0.0000 0.2500
3 Sn 0.3333 0.6667 0.1079
4 Hg 0.3333 0.6667 0.6567

(6)
For CsPr2Cu3TeSe4, a DFT-relaxed cell (PBE, OQMD) gives the theoretical XRD peak list in this record (λ = 1.5418 Å (Cu Kα)).

Largest 8 diffraction maxima, sorted by position, 2θ from 10° to 90°:
index	two_theta	I/Imax
1 3 0	27.5	50
1 3 1	28.0	93
0 0 6	29.1	100
1 3 2	29.2	79
1 3 4	33.8	56
2 0 0	42.2	64
1 3 7	44.3	66
2 0 6	52.0	41

Cell and atoms:
abc: 4.287 14.842 18.439
angles: 90.00 90.00 90.00
Space group Cmcm (No. 63)
Symmetry-distinct sites (fractional):
1 Cs 0.000 0.052 0.250
2 Pr 0.000 0.189 0.585
3 Cu 0.000 0.344 0.250
4 Cu 0.000 0.415 0.530
5 Te 0.000 0.241 0.750
6 Se 0.000 0.163 0.071
7 Se 0.000 0.445 0.106